For La4TbSe6, a PBE-relaxed structure gives the computed PXRD pattern in this record (Cu Kα X-rays).
Lines closer than 0.1° are merged.

Cell and atoms:
Lattice parameters (Å, degrees): 12.0266 12.0266 14.4692 90.00 90.00 120.00
Space group R-3c (No. 167, hexagonal axes)
Unique sites:
La: 0.0000 0.0000 0.2500
La: 0.0000 0.3826 0.2500
Tb: 0.0000 0.0000 0.0000
Se: 0.0296 0.2035 0.3869

Largest 6 diffraction maxima, by angle, 10 to 80 degrees two-theta:
- (3 0 0), 2θ 25.66, intensity 78
- (0 2 4), 2θ 30.08, intensity 65
- (1 3 1), 2θ 31.58, intensity 87
- (2 1 4), 2θ 33.65, intensity 97
- (2 2 3), 2θ 35.17, intensity 100
- (3 2 4), 2θ 45.49, intensity 51


For K2Mg, a PBE-relaxed structure gives the computed PXRD pattern in this record (Cu Kα X-rays).
Lines closer than 0.1° are merged.

Cell and atoms:
Lattice parameters (Å, degrees): 8.1431 6.3564 11.8337 90.00 90.00 90.00
Space group Pnma (No. 62)
Unique sites:
K: 0.0455 0.2500 0.2110
K: 0.1831 0.2500 0.5657
Mg: 0.1997 0.2500 0.8906

Largest 6 diffraction maxima, by angle, 10 to 80 degrees two-theta:
- (2 1 0), 2θ 25.99, intensity 44
- (0 1 3), 2θ 26.59, intensity 100
- (2 1 1), 2θ 27.08, intensity 56
- (0 2 0), 2θ 28.08, intensity 44
- (2 0 3), 2θ 31.58, intensity 19
- (2 2 2), 2θ 39.04, intensity 16